# 1
For Li4MnCu3P4O16, a structure optimized by DFT (GGA+U) gives the simulated powder XRD pattern in this record (Cu Ka).

Main lines, low angle first (5° ≤ 2θ ≤ 70°):
index, Position (°2θ), I (rel.)
0 0 2, 17.60, 53.0
1 0 -1, 20.48, 51.3
1 0 1, 20.74, 38.0
1 1 -1, 25.12, 56.7
1 1 1, 25.33, 64.4
0 2 0, 29.00, 100.0
1 1 -3, 35.57, 57.7
1 1 3, 36.04, 59.8
2 0 -1, 38.64, 47.4
0 1 6, 56.83, 28.4

Atomic structure:
```
data_Li4MnCu3P4O16
_cell_length_a 4.768
_cell_length_b 6.159
_cell_length_c 10.077
_cell_angle_alpha 90.00
_cell_angle_beta 90.92
_cell_angle_gamma 90.00
_symmetry_space_group_name_H-M 'P 1'
_symmetry_Int_Tables_number 1
loop_
_symmetry_equiv_pos_as_xyz
'x,y,z'
loop_
_atom_site_label
_atom_site_type_symbol
_atom_site_fract_x
_atom_site_fract_y
_atom_site_fract_z
Li1 Li 0.000 0.249 0.000
Li2 Li 0.000 0.751 0.000
Li3 Li 0.497 0.250 0.511
Li4 Li 0.497 0.750 0.511
Mn1 Mn 0.469 0.000 0.223
Cu1 Cu 0.052 0.000 0.718
Cu2 Cu 0.552 0.500 0.791
Cu3 Cu 0.941 0.500 0.292
P1 P 0.074 0.500 0.600
P2 P 0.416 0.500 0.099
P3 P 0.584 0.000 0.903
P4 P 0.921 0.000 0.415
O1 O 0.179 0.500 0.453
O2 O 0.214 0.298 0.667
O3 O 0.214 0.702 0.667
O4 O 0.241 0.000 0.411
O5 O 0.259 0.000 0.898
O6 O 0.279 0.297 0.164
O7 O 0.279 0.703 0.164
O8 O 0.313 0.500 0.950
O9 O 0.704 0.000 0.048
O10 O 0.717 0.203 0.835
O11 O 0.717 0.797 0.835
O12 O 0.741 0.500 0.111
O13 O 0.749 0.500 0.607
O14 O 0.779 0.199 0.343
O15 O 0.779 0.801 0.343
O16 O 0.805 0.000 0.559
```

# 2
For LiV2BO5, a structure optimized by DFT (GGA+U) gives the simulated powder XRD pattern in this record (Cu Ka).

Main lines, low angle first (5° ≤ 2θ ≤ 70°):
index, Position (°2θ), I (rel.)
0 2 0, 14.28, 42.0
1 2 0, 17.18, 63.1
2 2 0, 23.89, 48.6
2 4 0, 34.76, 45.9
2 0 1, 35.10, 100.0
2 5 0, 41.23, 20.2
3 2 1, 44.05, 41.3
4 4 1, 57.99, 30.0
0 0 2, 60.54, 23.1
1 7 1, 61.28, 18.9

Atomic structure:
```
data_LiV2BO5
_cell_length_a 9.315
_cell_length_b 12.402
_cell_length_c 3.059
_cell_angle_alpha 90.00
_cell_angle_beta 90.00
_cell_angle_gamma 90.00
_symmetry_space_group_name_H-M 'P 1'
_symmetry_Int_Tables_number 1
loop_
_symmetry_equiv_pos_as_xyz
'x,y,z'
loop_
_atom_site_label
_atom_site_type_symbol
_atom_site_fract_x
_atom_site_fract_y
_atom_site_fract_z
Li1 Li 0.000 0.000 0.000
Li2 Li 0.000 0.500 0.500
Li3 Li 0.500 0.000 0.500
Li4 Li 0.500 0.500 0.000
V1 V 0.002 0.216 0.500
V2 V 0.240 0.391 0.000
V3 V 0.260 0.891 0.000
V4 V 0.498 0.716 0.500
V5 V 0.502 0.284 0.500
V6 V 0.740 0.109 0.000
V7 V 0.760 0.609 0.000
V8 V 0.998 0.784 0.500
B1 B 0.224 0.638 0.000
B2 B 0.276 0.138 0.000
B3 B 0.724 0.862 0.000
B4 B 0.776 0.362 0.000
O1 O 0.111 0.349 0.500
O2 O 0.119 0.919 0.500
O3 O 0.125 0.148 0.000
O4 O 0.145 0.737 0.000
O5 O 0.154 0.544 0.000
O6 O 0.346 0.044 0.000
O7 O 0.355 0.237 0.000
O8 O 0.375 0.648 0.000
O9 O 0.381 0.419 0.500
O10 O 0.389 0.849 0.500
O11 O 0.611 0.151 0.500
O12 O 0.619 0.581 0.500
O13 O 0.625 0.352 0.000
O14 O 0.645 0.763 0.000
O15 O 0.654 0.956 0.000
O16 O 0.846 0.456 0.000
O17 O 0.855 0.263 0.000
O18 O 0.875 0.852 0.000
O19 O 0.881 0.081 0.500
O20 O 0.889 0.651 0.500
```